Record 1
Theoretical powder X-ray diffraction pattern
Compound: Cd3Sn2
Radiation: Cu Kα X-rays
Structure: a structure optimized by DFT (PBE)
Peak positions follow from Bragg's law for the DFT cell and can differ from measured ones.

Principal peaks in the range 2θ = 10–90°, low angle first:
| Position (°2θ) | I_rel |
| --- | --- |
| 24.2 | 94 |
| 29.9 | 38 |
| 31.5 | 82 |
| 35.2 | 38 |
| 38.8 | 100 |
| 40.1 | 48 |
| 43.1 | 90 |
| 67.2 | 30 |
| 67.3 | 28 |
| 76.2 | 41 |

Structural model:
a b c (Å): 7.368 7.368 8.509
angles (deg): 90.00 90.00 120.00
Fractional coordinates of all 15 atoms:
Cd 0.000 0.768 0.000
Cd 0.101 0.667 0.667
Cd 0.232 0.232 0.000
Cd 0.333 0.435 0.667
Cd 0.435 0.333 0.333
Cd 0.565 0.899 0.667
Cd 0.667 0.101 0.333
Cd 0.768 0.000 0.000
Cd 0.899 0.565 0.333
Sn 0.000 0.000 0.321
Sn 0.000 0.000 0.679
Sn 0.333 0.667 0.346
Sn 0.333 0.667 0.987
Sn 0.667 0.333 0.013
Sn 0.667 0.333 0.654


Record 2
Theoretical powder X-ray diffraction pattern
Compound: Sc4CdBiC2
Radiation: Cu Kα X-rays
Structure: a structure optimized by DFT (PBE)
Peak positions follow from Bragg's law for the DFT cell and can differ from measured ones.

Principal peaks in the range 2θ = 10–90°, low angle first:
| Position (°2θ) | I_rel |
| --- | --- |
| 11.7 | 41 |
| 23.5 | 18 |
| 30.5 | 23 |
| 31.1 | 32 |
| 35.4 | 100 |
| 35.5 | 20 |
| 47.5 | 18 |
| 54.2 | 20 |
| 63.7 | 21 |
| 66.4 | 34 |

Structural model:
a b c (Å): 3.386 3.386 15.158
angles (deg): 90.00 90.00 120.00
Fractional coordinates of all 8 atoms:
Sc 0.000 0.000 0.169
Sc 0.000 0.000 0.831
Sc 0.667 0.333 0.328
Sc 0.667 0.333 0.672
Cd 0.000 0.000 0.500
Bi 0.667 0.333 0.000
C 0.333 0.667 0.246
C 0.333 0.667 0.754


Record 3
Theoretical powder X-ray diffraction pattern
Compound: Na2Tl4IrPd
Radiation: Cu Kα X-rays
Structure: a structure optimized by DFT (PBE)
Peak positions follow from Bragg's law for the DFT cell and can differ from measured ones.

Principal peaks in the range 2θ = 10–90°, low angle first:
| Position (°2θ) | I_rel |
| --- | --- |
| 16.0 | 61 |
| 19.4 | 49 |
| 22.3 | 62 |
| 31.4 | 93 |
| 32.0 | 46 |
| 39.1 | 100 |
| 39.3 | 61 |
| 40.2 | 87 |
| 42.4 | 46 |
| 59.2 | 57 |

Structural model:
a b c (Å): 4.268 8.138 5.943
angles (deg): 90.00 110.96 90.00
Fractional coordinates of all 8 atoms:
Na 0.000 0.000 0.000
Na 0.131 0.500 0.260
Tl 0.425 0.291 0.850
Tl 0.425 0.709 0.850
Tl 0.706 0.202 0.409
Tl 0.706 0.798 0.409
Ir 0.283 0.000 0.565
Pd 0.848 0.500 0.695


Record 4
Theoretical powder X-ray diffraction pattern
Compound: AgPdNO
Radiation: Cu Kα X-rays
Structure: a structure optimized by DFT (PBE)
Peak positions follow from Bragg's law for the DFT cell and can differ from measured ones.

Principal peaks in the range 2θ = 10–90°, low angle first:
| Position (°2θ) | I_rel |
| --- | --- |
| 25.2 | 23 |
| 26.2 | 51 |
| 33.3 | 100 |
| 34.1 | 16 |
| 43.7 | 43 |
| 45.7 | 16 |
| 51.0 | 13 |
| 51.7 | 29 |
| 63.6 | 13 |
| 73.7 | 20 |

Structural model:
a b c (Å): 4.140 4.140 6.793
angles (deg): 90.00 90.00 90.00
Fractional coordinates of all 8 atoms:
Ag 0.250 0.750 0.000
Ag 0.750 0.250 0.000
Pd 0.250 0.250 0.424
Pd 0.750 0.750 0.576
N 0.250 0.250 0.135
N 0.750 0.750 0.865
O 0.250 0.750 0.500
O 0.750 0.250 0.500


Record 5
Theoretical powder X-ray diffraction pattern
Compound: Zn2BH3O5
Radiation: Cu Kα X-rays
Structure: a structure optimized by DFT (PBE)
Peak positions follow from Bragg's law for the DFT cell and can differ from measured ones.

Principal peaks in the range 2θ = 10–90°, low angle first:
| Position (°2θ) | I_rel |
| --- | --- |
| 16.8 | 100 |
| 20.4 | 22 |
| 20.9 | 35 |
| 26.0 | 20 |
| 26.4 | 25 |
| 27.0 | 18 |
| 27.5 | 16 |
| 27.9 | 20 |
| 36.0 | 53 |
| 37.0 | 27 |

Structural model:
a b c (Å): 4.877 4.990 5.309
angles (deg): 90.08 93.90 119.02
Fractional coordinates of all 11 atoms:
Zn 0.000 0.000 0.000
Zn 0.321 0.656 0.748
B 0.659 0.341 0.888
H 0.055 0.845 0.419
H 0.297 0.518 0.302
H 0.711 0.856 0.389
O 0.375 0.713 0.394
O 0.392 0.356 0.935
O 0.655 0.067 0.875
O 0.927 0.612 0.854
O 0.961 0.975 0.369


Record 6
Theoretical powder X-ray diffraction pattern
Compound: TbTlP2Se6
Radiation: Cu Kα X-rays
Structure: a structure optimized by DFT (PBE)
Peak positions follow from Bragg's law for the DFT cell and can differ from measured ones.

Principal peaks in the range 2θ = 10–90°, low angle first:
| Position (°2θ) | I_rel |
| --- | --- |
| 19.5 | 54 |
| 24.8 | 90 |
| 28.9 | 94 |
| 29.6 | 62 |
| 30.0 | 91 |
| 30.8 | 100 |
| 31.6 | 73 |
| 34.3 | 63 |
| 34.8 | 66 |
| 36.0 | 52 |

Structural model:
a b c (Å): 6.862 7.657 10.452
angles (deg): 90.00 91.33 90.00
Fractional coordinates of all 20 atoms:
Tb 0.215 0.000 0.002
Tb 0.785 0.500 0.998
Tl 0.316 0.778 0.508
Tl 0.684 0.278 0.492
P 0.191 0.271 0.292
P 0.315 0.489 0.172
P 0.685 0.989 0.828
P 0.809 0.771 0.708
Se 0.068 0.692 0.832
Se 0.077 0.689 0.167
Se 0.153 0.365 0.484
Se 0.372 0.363 0.982
Se 0.400 0.057 0.266
Se 0.407 0.085 0.746
Se 0.593 0.585 0.254
Se 0.600 0.557 0.734
Se 0.628 0.863 0.018
Se 0.847 0.865 0.516
Se 0.923 0.189 0.833
Se 0.932 0.192 0.168


Record 7
Theoretical powder X-ray diffraction pattern
Compound: Cu3C
Radiation: Cu Kα X-rays
Structure: a structure optimized by DFT (PBE)
Peak positions follow from Bragg's law for the DFT cell and can differ from measured ones.

Principal peaks in the range 2θ = 10–90°, low angle first:
| Position (°2θ) | I_rel |
| --- | --- |
| 35.9 | 60 |
| 38.0 | 57 |
| 38.4 | 15 |
| 40.8 | 18 |
| 41.7 | 27 |
| 43.9 | 16 |
| 44.9 | 100 |
| 47.3 | 99 |
| 53.3 | 42 |
| 83.8 | 17 |

Structural model:
a b c (Å): 5.393 6.703 4.731
angles (deg): 90.00 90.00 90.00
Fractional coordinates of all 16 atoms:
Cu 0.089 0.250 0.212
Cu 0.154 0.067 0.693
Cu 0.154 0.433 0.693
Cu 0.346 0.567 0.193
Cu 0.346 0.933 0.193
Cu 0.411 0.750 0.712
Cu 0.589 0.250 0.288
Cu 0.654 0.067 0.807
Cu 0.654 0.433 0.807
Cu 0.846 0.567 0.307
Cu 0.846 0.933 0.307
Cu 0.911 0.750 0.788
C 0.137 0.750 0.452
C 0.363 0.250 0.952
C 0.637 0.750 0.048
C 0.863 0.250 0.548


Record 8
Theoretical powder X-ray diffraction pattern
Compound: Hf4SiGe
Radiation: Cu Kα X-rays
Structure: a structure optimized by DFT (PBE)
Peak positions follow from Bragg's law for the DFT cell and can differ from measured ones.

Principal peaks in the range 2θ = 10–90°, low angle first:
| Position (°2θ) | I_rel |
| --- | --- |
| 34.2 | 16 |
| 34.9 | 100 |
| 39.4 | 13 |
| 43.4 | 22 |
| 44.1 | 12 |
| 60.5 | 12 |
| 61.7 | 20 |
| 67.0 | 9 |
| 70.4 | 14 |
| 80.5 | 13 |

Structural model:
a b c (Å): 6.601 6.601 5.246
angles (deg): 90.00 90.00 90.00
Fractional coordinates of all 12 atoms:
Hf 0.156 0.344 0.250
Hf 0.156 0.656 0.750
Hf 0.344 0.156 0.750
Hf 0.344 0.844 0.250
Hf 0.656 0.156 0.250
Hf 0.656 0.844 0.750
Hf 0.844 0.344 0.750
Hf 0.844 0.656 0.250
Si 0.000 0.000 0.500
Si 0.500 0.500 0.000
Ge 0.000 0.000 0.000
Ge 0.500 0.500 0.500


Record 9
Theoretical powder X-ray diffraction pattern
Compound: In8Ir2S
Radiation: Cu Kα X-rays
Structure: a structure optimized by DFT (PBE)
Peak positions follow from Bragg's law for the DFT cell and can differ from measured ones.

Principal peaks in the range 2θ = 10–90°, low angle first:
| Position (°2θ) | I_rel |
| --- | --- |
| 17.3 | 47 |
| 17.7 | 35 |
| 19.8 | 46 |
| 33.0 | 97 |
| 35.1 | 30 |
| 37.0 | 64 |
| 38.1 | 61 |
| 39.6 | 26 |
| 40.6 | 25 |
| 41.1 | 100 |

Structural model:
a b c (Å): 10.030 10.030 10.226
angles (deg): 90.00 90.00 90.00
Fractional coordinates of all 44 atoms:
In 0.000 0.000 0.167
In 0.000 0.000 0.833
In 0.051 0.301 0.307
In 0.051 0.301 0.693
In 0.096 0.904 0.500
In 0.185 0.815 0.000
In 0.198 0.198 0.000
In 0.199 0.551 0.193
In 0.199 0.551 0.807
In 0.301 0.051 0.307
In 0.301 0.051 0.693
In 0.302 0.698 0.500
In 0.315 0.315 0.500
In 0.404 0.404 0.000
In 0.449 0.801 0.193
In 0.449 0.801 0.807
In 0.500 0.500 0.333
In 0.500 0.500 0.667
In 0.551 0.199 0.193
In 0.551 0.199 0.807
In 0.596 0.596 0.000
In 0.685 0.685 0.500
In 0.698 0.302 0.500
In 0.699 0.949 0.307
In 0.699 0.949 0.693
In 0.801 0.449 0.193
In 0.801 0.449 0.807
In 0.802 0.802 0.000
In 0.815 0.185 0.000
In 0.904 0.096 0.500
In 0.949 0.699 0.307
In 0.949 0.699 0.693
Ir 0.188 0.812 0.260
Ir 0.188 0.812 0.740
Ir 0.312 0.312 0.240
Ir 0.312 0.312 0.760
Ir 0.688 0.688 0.240
Ir 0.688 0.688 0.760
Ir 0.812 0.188 0.260
Ir 0.812 0.188 0.740
S 0.000 0.500 0.000
S 0.000 0.500 0.500
S 0.500 0.000 0.000
S 0.500 0.000 0.500


Record 10
Theoretical powder X-ray diffraction pattern
Compound: LiOs2Pd
Radiation: Cu Kα X-rays
Structure: a structure optimized by DFT (PBE)
Peak positions follow from Bragg's law for the DFT cell and can differ from measured ones.

Principal peaks in the range 2θ = 10–90°, low angle first:
| Position (°2θ) | I_rel |
| --- | --- |
| 25.5 | 41 |
| 29.5 | 6 |
| 42.2 | 100 |
| 49.9 | 21 |
| 52.3 | 2 |
| 61.2 | 17 |
| 67.3 | 9 |
| 69.3 | 2 |
| 77.1 | 34 |
| 82.7 | 7 |

Structural model:
a b c (Å): 6.061 6.061 6.061
angles (deg): 90.00 90.00 90.00
Fractional coordinates of all 16 atoms:
Li 0.000 0.000 0.000
Li 0.000 0.500 0.500
Li 0.500 0.000 0.500
Li 0.500 0.500 0.000
Os 0.000 0.000 0.500
Os 0.000 0.500 0.000
Os 0.250 0.250 0.750
Os 0.250 0.750 0.250
Os 0.500 0.000 0.000
Os 0.500 0.500 0.500
Os 0.750 0.250 0.250
Os 0.750 0.750 0.750
Pd 0.250 0.250 0.250
Pd 0.250 0.750 0.750
Pd 0.750 0.250 0.750
Pd 0.750 0.750 0.250


Record 11
Theoretical powder X-ray diffraction pattern
Compound: Cu6Ag6Sb4SeS12
Radiation: Cu Kα X-rays
Structure: a structure optimized by DFT (PBE)
Peak positions follow from Bragg's law for the DFT cell and can differ from measured ones.

Principal peaks in the range 2θ = 10–90°, low angle first:
| Position (°2θ) | I_rel |
| --- | --- |
| 11.6 | 9 |
| 28.6 | 100 |
| 31.0 | 9 |
| 33.2 | 31 |
| 35.3 | 12 |
| 42.7 | 13 |
| 47.6 | 55 |
| 56.5 | 31 |
| 77.0 | 11 |
| 88.8 | 13 |

Structural model:
a b c (Å): 9.352 9.352 9.352
angles (deg): 109.47 109.47 109.47
Fractional coordinates of all 29 atoms:
Cu 0.250 0.500 0.750
Cu 0.250 0.750 0.500
Cu 0.500 0.250 0.750
Cu 0.500 0.750 0.250
Cu 0.750 0.250 0.500
Cu 0.750 0.500 0.250
Ag 0.000 0.242 0.242
Ag 0.000 0.758 0.758
Ag 0.242 0.000 0.242
Ag 0.242 0.242 0.000
Ag 0.758 0.000 0.758
Ag 0.758 0.758 0.000
Sb 0.000 0.000 0.552
Sb 0.000 0.552 0.000
Sb 0.448 0.448 0.448
Sb 0.552 0.000 0.000
Se 0.000 0.000 0.000
S 0.000 0.249 0.509
S 0.000 0.509 0.249
S 0.249 0.000 0.509
S 0.249 0.509 0.000
S 0.260 0.751 0.751
S 0.491 0.491 0.740
S 0.491 0.740 0.491
S 0.509 0.000 0.249
S 0.509 0.249 0.000
S 0.740 0.491 0.491
S 0.751 0.260 0.751
S 0.751 0.751 0.260


Record 12
Theoretical powder X-ray diffraction pattern
Compound: Dy2ZnGaPt4
Radiation: Cu Kα X-rays
Structure: a structure optimized by DFT (PBE)
Peak positions follow from Bragg's law for the DFT cell and can differ from measured ones.

Principal peaks in the range 2θ = 10–90°, low angle first:
| Position (°2θ) | I_rel |
| --- | --- |
| 23.2 | 5 |
| 26.9 | 7 |
| 38.4 | 100 |
| 45.3 | 3 |
| 47.4 | 2 |
| 55.4 | 17 |
| 62.6 | 3 |
| 69.4 | 35 |
| 82.1 | 11 |
| 88.3 | 2 |

Structural model:
a b c (Å): 4.695 4.695 6.633
angles (deg): 90.00 90.00 90.00
Fractional coordinates of all 8 atoms:
Dy 0.000 0.000 0.000
Dy 0.500 0.500 0.500
Zn 0.000 0.000 0.500
Ga 0.500 0.500 0.000
Pt 0.000 0.500 0.248
Pt 0.000 0.500 0.752
Pt 0.500 0.000 0.248
Pt 0.500 0.000 0.752